Calculated powder diffractogram of Al4GaAg3 for Cu Kα X-rays, from DFT lattice parameters and positions (GGA-PBE).

Structural model:
```
Al4GaAg3
1.0
4.684 0.000 0.000
0.000 7.627 0.000
-0.544 0.000 7.982
Al Ga Ag
8 2 6
Direct
0.103 0.000 0.252
0.107 0.307 0.442
0.133 0.310 0.058
0.383 0.697 0.747
0.617 0.197 0.253
0.867 0.810 0.942
0.893 0.807 0.558
0.897 0.500 0.748
0.116 0.622 0.256
0.884 0.122 0.744
0.352 0.996 0.948
0.389 0.999 0.561
0.395 0.332 0.753
0.605 0.832 0.247
0.611 0.499 0.439
0.648 0.496 0.052
```

Largest 10 diffraction maxima, by angle, 5° ≤ 2θ ≤ 70°:
2θ = 16.07°, 5.515 Å, intensity 81
2θ = 18.99°, 4.673 Å, intensity 48
2θ = 30.77°, 2.905 Å, intensity 49
2θ = 32.47°, 2.757 Å, intensity 43
2θ = 35.74°, 2.512 Å, intensity 85
2θ = 37.08°, 2.425 Å, intensity 74
2θ = 38.69°, 2.327 Å, intensity 47
2θ = 40.38°, 2.234 Å, intensity 100
2θ = 40.98°, 2.203 Å, intensity 46
2θ = 45.20°, 2.006 Å, intensity 42